RbPrP3HO10: theoretical X-ray powder pattern (a wavelength of 1.5418 Å), based on a crystal structure in the Materials Project, relaxed with PBE.
Neutral-atom scattering factors, no anomalous dispersion.

Largest 6 diffraction maxima, by angle, 2θ from 10° to 90°:
10.7 deg, rel. 53.9, hkl 0 0 1
25.8 deg, rel. 40.7, hkl 2 0 0
27.4 deg, rel. 24.6, hkl 0 1 -2
28.0 deg, rel. 100.0, hkl 1 2 2
28.2 deg, rel. 24.2, hkl 1 -1 2
29.3 deg, rel. 30.6, hkl 2 0 2

Crystal structure
```
data_RbPrP3HO10
_symmetry_space_group_name_H-M 'P -1'
_symmetry_Int_Tables_number 2
_symmetry_space_group_name_Hall '-P 1'
_cell_length_a 7.195
_cell_length_b 7.657
_cell_length_c 8.854
_cell_angle_alpha 73.92
_cell_angle_beta 74.23
_cell_angle_gamma 83.03
loop_
_atom_site_label
_atom_site_type_symbol
_atom_site_fract_x
_atom_site_fract_y
_atom_site_fract_z
Rb1 Rb 0.212 0.181 0.028
Pr1 Pr 0.230 0.134 0.509
P1 P 0.134 0.534 0.651
P2 P 0.318 0.790 0.353
P3 P 0.332 0.725 0.815
H1 H 0.315 0.675 0.080
O1 O 0.044 0.342 0.327
O2 O 0.115 0.331 0.693
O3 O 0.134 0.919 0.379
O4 O 0.205 0.895 0.768
O5 O 0.258 0.585 0.463
O6 O 0.266 0.628 0.002
O7 O 0.280 0.562 0.749
O8 O 0.397 0.774 0.181
O9 O 0.452 0.254 0.244
O10 O 0.459 0.852 0.430
```


Sn5Ge2N6: theoretical X-ray powder pattern (a wavelength of 1.5418 Å), based on a crystal structure in the Materials Project, relaxed with PBE.
Neutral-atom scattering factors, no anomalous dispersion.

Largest 6 diffraction maxima, by angle, 2θ from 10° to 90°:
25.8 deg, rel. 70.4, hkl 0 2 1
27.9 deg, rel. 52.3, hkl 0 2 2
28.3 deg, rel. 39.1, hkl 1 1 -4
32.5 deg, rel. 79.6, hkl 3 1 -1
32.8 deg, rel. 65.6, hkl 2 0 4
33.7 deg, rel. 100.0, hkl 1 1 -5

Crystal structure
```
data_Sn5Ge2N6
_symmetry_space_group_name_H-M 'C 1 2/c 1'
_symmetry_Int_Tables_number 15
_symmetry_space_group_name_Hall '-C 2yc'
_cell_length_a 9.026
_cell_length_b 7.103
_cell_length_c 14.772
_cell_angle_alpha 90.00
_cell_angle_beta 95.15
_cell_angle_gamma 90.00
loop_
_atom_site_label
_atom_site_type_symbol
_atom_site_fract_x
_atom_site_fract_y
_atom_site_fract_z
Sn1 Sn 0.000 0.099 0.250
Sn2 Sn 0.075 0.215 0.472
Sn3 Sn 0.132 0.413 0.683
Ge1 Ge 0.235 0.290 0.907
N1 N 0.097 0.285 0.151
N2 N 0.105 0.405 0.827
N3 N 0.150 0.107 0.985
```


AlO2: theoretical X-ray powder pattern (a wavelength of 1.5418 Å), based on a crystal structure in the Materials Project, relaxed with PBE.
Neutral-atom scattering factors, no anomalous dispersion.

Largest 6 diffraction maxima, by angle, 2θ from 10° to 90°:
23.0 deg, rel. 70.1, hkl 1 0 1
27.3 deg, rel. 71.6, hkl 2 0 1
34.3 deg, rel. 50.9, hkl 2 1 0
37.9 deg, rel. 100.0, hkl 1 1 1
40.3 deg, rel. 97.6, hkl 4 0 1
60.1 deg, rel. 76.8, hkl 3 1 2

Crystal structure
```
data_AlO2
_symmetry_space_group_name_H-M 'P n m a'
_symmetry_Int_Tables_number 62
_symmetry_space_group_name_Hall '-P 2ac 2n'
_cell_length_a 10.613
_cell_length_b 3.005
_cell_length_c 4.157
_cell_angle_alpha 90.00
_cell_angle_beta 90.00
_cell_angle_gamma 90.00
loop_
_atom_site_label
_atom_site_type_symbol
_atom_site_fract_x
_atom_site_fract_y
_atom_site_fract_z
Al1 Al 0.162 0.250 0.140
O1 O 0.039 0.250 0.843
O2 O 0.203 0.750 0.350
```


Ba2NdIrO6: theoretical X-ray powder pattern (a wavelength of 1.5418 Å), based on a crystal structure in the Materials Project, relaxed with PBE.
Neutral-atom scattering factors, no anomalous dispersion.

Largest 6 diffraction maxima, by angle, 2θ from 10° to 90°:
29.4 deg, rel. 100.0, hkl 2 2 0
42.1 deg, rel. 28.1, hkl 4 0 0
52.1 deg, rel. 40.8, hkl 4 2 2
61.0 deg, rel. 17.8, hkl 4 4 0
69.1 deg, rel. 18.4, hkl 6 2 0
84.4 deg, rel. 21.9, hkl 6 4 2

Crystal structure
```
data_Ba2NdIrO6
_symmetry_space_group_name_H-M 'F m -3 m'
_symmetry_Int_Tables_number 225
_symmetry_space_group_name_Hall '-F 4 2 3'
_cell_length_a 8.592
_cell_length_b 8.592
_cell_length_c 8.592
_cell_angle_alpha 90.00
_cell_angle_beta 90.00
_cell_angle_gamma 90.00
loop_
_atom_site_label
_atom_site_type_symbol
_atom_site_fract_x
_atom_site_fract_y
_atom_site_fract_z
Ba1 Ba 0.250 0.250 0.250
Nd1 Nd 0.000 0.000 0.000
Ir1 Ir 0.000 0.000 0.500
O1 O 0.000 0.000 0.269
```


CaCo2N2: theoretical X-ray powder pattern (a wavelength of 1.5418 Å), based on a crystal structure in the Materials Project, relaxed with PBE.
Neutral-atom scattering factors, no anomalous dispersion.

Largest 6 diffraction maxima, by angle, 2θ from 10° to 90°:
25.7 deg, rel. 53.3, hkl 1 0 0
29.7 deg, rel. 81.3, hkl 1 0 1
36.7 deg, rel. 59.9, hkl 1 1 0
39.6 deg, rel. 100.0, hkl 1 0 2
52.9 deg, rel. 35.6, hkl 2 0 0
68.0 deg, rel. 35.0, hkl 2 1 2

Crystal structure
```
data_CaCo2N2
_symmetry_space_group_name_H-M 'P -4 m 2'
_symmetry_Int_Tables_number 115
_symmetry_space_group_name_Hall 'P -4 -2'
_cell_length_a 3.461
_cell_length_b 3.461
_cell_length_c 6.048
_cell_angle_alpha 90.00
_cell_angle_beta 90.00
_cell_angle_gamma 90.00
loop_
_atom_site_label
_atom_site_type_symbol
_atom_site_fract_x
_atom_site_fract_y
_atom_site_fract_z
Ca1 Ca 0.000 0.000 0.000
Co1 Co 0.500 0.500 0.301
N1 N 0.000 0.500 0.717
```